# 1
# CaMnCu3Ru3O12
Simulated powder X-ray diffraction pattern, λ = 1.5418 Å (Cu Kα). Input: a crystal structure in Alexandria, relaxed with GGA+U.
Intensities are scaled so that the largest is 100.

The 10 most intense peaks (2θ from 10° to 90°), by intensity:
- 2θ 33.7, intensity 100
- 2θ 60.3, intensity 36
- 2θ 48.4, intensity 24
- 2θ 60.2, intensity 12
- 2θ 80.8, intensity 8
- 2θ 80.9, intensity 8
- 2θ 23.7, intensity 8
- 2θ 16.7, intensity 6
- 2θ 70.8, intensity 6
- 2θ 71.0, intensity 6

Cell and atoms:
Unit cell a=10.6204 b=10.6204 c=6.5289 alpha=90.00 beta=90.00 gamma=120.00
Space group R-3 (No. 148, hexagonal axes)
Unique sites:
Ca: 0.0000 0.0000 0.0000 x3
Mn: 0.0000 0.0000 0.5000 x3
Cu: 0.0000 0.5000 0.0000 x9
Ru: 0.0000 0.5000 0.5000 x9
O: 0.0139 0.1670 0.6854 x18
O: 0.0458 0.2600 0.0918 x18


# 2
# CaCu3Mo4O12
Simulated powder X-ray diffraction pattern, λ = 1.5418 Å (Cu Kα). Input: a crystal structure in Alexandria, relaxed with GGA+U.
Intensities are scaled so that the largest is 100.

The 10 most intense peaks (2θ from 10° to 90°), by intensity:
- 2θ 32.9, intensity 100
- 2θ 33.0, intensity 97
- 2θ 58.9, intensity 70
- 2θ 47.3, intensity 49
- 2θ 58.7, intensity 24
- 2θ 23.1, intensity 20
- 2θ 78.6, intensity 17
- 2θ 78.8, intensity 16
- 2θ 69.3, intensity 12
- 2θ 69.0, intensity 12

Cell and atoms:
Unit cell a=10.8524 b=10.8524 c=6.6789 alpha=90.00 beta=90.00 gamma=120.00
Space group R-3 (No. 148, hexagonal axes)
Unique sites:
Ca: 0.0000 0.0000 0.0000 x3
Cu: 0.0000 0.5000 0.0000 x9
Mo: 0.0000 0.0000 0.5000 x3
Mo: 0.0000 0.5000 0.5000 x9
O: 0.0125 0.8544 0.6835 x18
O: 0.0410 0.7823 0.0920 x18